Entry 1:
Theoretical powder diffractogram of Gd2AlGaFe4 for Cu Kα X-rays, from a PBE-relaxed structure.
Peak positions follow from Bragg's law for the DFT cell and can differ from measured ones.

The 10 most intense peaks (15 to 90 degrees two-theta), sorted by position:
| 2theta | Rel. int. |
| --- | --- |
| 24.5 | 28 |
| 26.2 | 74 |
| 31.1 | 23 |
| 37.8 | 100 |
| 38.2 | 27 |
| 43.0 | 85 |
| 58.6 | 27 |
| 58.9 | 46 |
| 75.4 | 41 |
| 78.9 | 13 |

Crystal structure
```
8
Lattice="4.204 0.000 0.000 -2.102 3.641 0.000 0.000 0.000 9.415" Properties=species:S:1:pos:R:3 pbc="T T T"
Gd 0.000 2.427 2.353
Gd 2.102 1.214 7.062
Al 0.000 0.000 0.000
Ga 0.000 0.000 4.707
Fe 0.000 2.427 5.086
Fe 0.000 2.427 9.025
Fe 2.102 1.214 0.390
Fe 2.102 1.214 4.328
```

---

Entry 2:
Theoretical powder diffractogram of Nd3AlGaFe4 for Cu Kα X-rays, from a PBE-relaxed structure.
Peak positions follow from Bragg's law for the DFT cell and can differ from measured ones.

The 10 most intense peaks (15 to 90 degrees two-theta), sorted by position:
| 2theta | Rel. int. |
| --- | --- |
| 26.2 | 100 |
| 30.8 | 68 |
| 33.2 | 35 |
| 33.8 | 81 |
| 34.6 | 77 |
| 37.8 | 82 |
| 38.7 | 30 |
| 42.1 | 50 |
| 43.3 | 82 |
| 56.6 | 37 |

Crystal structure
```
9
Lattice="5.231 -2.089 0.000 5.231 2.089 0.000 -1.524 0.000 8.103" Properties=species:S:1:pos:R:3 pbc="T T T"
Nd 0.000 0.000 0.000
Nd 2.945 0.000 5.049
Nd 5.962 0.000 3.049
Al 5.852 0.000 6.296
Ga 3.068 0.000 1.842
Fe -0.138 0.000 5.128
Fe 1.190 0.000 7.492
Fe 7.745 0.000 0.635
Fe 9.059 0.000 3.001
```

---

Entry 3:
Theoretical powder diffractogram of TmAlGa4Fe for Cu Kα X-rays, from a PBE-relaxed structure.
Peak positions follow from Bragg's law for the DFT cell and can differ from measured ones.

The 10 most intense peaks (15 to 90 degrees two-theta), sorted by position:
| 2theta | Rel. int. |
| --- | --- |
| 21.1 | 48 |
| 32.9 | 46 |
| 34.1 | 29 |
| 40.2 | 18 |
| 40.4 | 100 |
| 42.9 | 56 |
| 55.9 | 14 |
| 60.2 | 22 |
| 62.3 | 18 |
| 76.9 | 29 |

Crystal structure
```
7
Lattice="4.215 0.000 0.000 0.000 4.215 0.000 0.000 0.000 6.737" Properties=species:S:1:pos:R:3 pbc="T T T"
Tm 0.000 0.000 0.000
Al 2.107 2.107 0.000
Ga 0.000 2.107 2.076
Ga 0.000 2.107 4.661
Ga 2.107 0.000 2.076
Ga 2.107 0.000 4.661
Fe 0.000 0.000 3.368
```

---

Repeat the third record exactly.
Theoretical powder diffractogram of TmAlGa4Fe for Cu Kα X-rays, from a PBE-relaxed structure.
Peak positions follow from Bragg's law for the DFT cell and can differ from measured ones.

The 10 most intense peaks (15 to 90 degrees two-theta), sorted by position:
| 2theta | Rel. int. |
| --- | --- |
| 21.1 | 48 |
| 32.9 | 46 |
| 34.1 | 29 |
| 40.2 | 18 |
| 40.4 | 100 |
| 42.9 | 56 |
| 55.9 | 14 |
| 60.2 | 22 |
| 62.3 | 18 |
| 76.9 | 29 |

Crystal structure
```
7
Lattice="4.215 0.000 0.000 0.000 4.215 0.000 0.000 0.000 6.737" Properties=species:S:1:pos:R:3 pbc="T T T"
Tm 0.000 0.000 0.000
Al 2.107 2.107 0.000
Ga 0.000 2.107 2.076
Ga 0.000 2.107 4.661
Ga 2.107 0.000 2.076
Ga 2.107 0.000 4.661
Fe 0.000 0.000 3.368
```